Diffraction record for Pu2Br3N. The powder XRD pattern is calculated, not measured: it uses the GGA-PBE geometry in Alexandria and a wavelength of 1.5418 Å.
Neutral-atom scattering factors, no anomalous dispersion.

Most intense lines, 2θ = 10–90°, in order of rising 2θ:
Position (°2θ)	I_rel
10.0	100.0
26.4	48.8
27.9	34.0
31.0	33.0
31.3	24.2
32.1	42.4
33.5	23.2
35.5	23.0
41.8	19.2
42.6	18.5

Cell and atoms:
```
Pu2Br3N
1.0
9.174 -1.966 0.000
9.174 1.966 0.000
-6.406 0.000 9.523
Pu Br N
4 6 2
Direct
0.076 0.076 0.457
0.368 0.368 0.220
0.632 0.632 0.780
0.924 0.924 0.543
0.168 0.168 0.008
0.282 0.282 0.379
0.463 0.463 0.762
0.537 0.537 0.238
0.718 0.718 0.621
0.832 0.832 0.992
0.070 0.070 0.646
0.930 0.930 0.354
```

Diffraction record for LaHoTe2Se. The powder XRD pattern is calculated, not measured: it uses the GGA-PBE geometry in Alexandria and a wavelength of 1.5418 Å.
Neutral-atom scattering factors, no anomalous dispersion.

Most intense lines, 2θ = 10–90°, in order of rising 2θ:
Position (°2θ)	I_rel
28.4	37.1
28.6	100.0
29.1	32.4
35.1	24.9
36.8	60.8
40.8	88.9
45.2	24.8
50.5	30.0
59.1	22.9
66.9	30.4

Cell and atoms:
```
LaHoTe2Se
1.0
4.419 0.000 0.000
0.000 4.419 0.000
0.000 0.000 15.692
La Ho Te Se
2 2 4 2
Direct
0.250 0.250 0.132
0.750 0.750 0.868
0.250 0.250 0.593
0.750 0.750 0.407
0.250 0.250 0.396
0.250 0.250 0.786
0.750 0.750 0.214
0.750 0.750 0.604
0.250 0.750 0.000
0.750 0.250 0.000
```

Diffraction record for BaMgTe2. The powder XRD pattern is calculated, not measured: it uses the GGA-PBE geometry in Alexandria and a wavelength of 1.5418 Å.
Neutral-atom scattering factors, no anomalous dispersion.

Most intense lines, 2θ = 10–90°, in order of rising 2θ:
Position (°2θ)	I_rel
23.0	37.0
23.9	19.2
27.4	64.6
29.7	100.0
35.3	22.1
39.8	56.9
50.5	22.5
53.7	25.0
62.9	16.5
66.2	19.8

Cell and atoms:
```
BaMgTe2
1.0
4.525 0.000 0.000
-2.263 3.919 0.000
0.000 0.000 23.411
Ba Mg Te
3 3 6
Direct
0.000 0.000 0.000
0.333 0.667 0.667
0.667 0.333 0.333
0.000 0.000 0.831
0.333 0.667 0.498
0.667 0.333 0.164
0.000 0.000 0.234
0.000 0.000 0.431
0.333 0.667 0.098
0.333 0.667 0.901
0.667 0.333 0.568
0.667 0.333 0.765
```

Diffraction record for Pr5Te4Pd. The powder XRD pattern is calculated, not measured: it uses the GGA-PBE geometry in Alexandria and a wavelength of 1.5418 Å.
Neutral-atom scattering factors, no anomalous dispersion.

Most intense lines, 2θ = 10–90°, in order of rising 2θ:
Position (°2θ)	I_rel
28.1	100.0
32.3	4.8
40.2	73.4
49.8	25.3
58.1	11.6
65.8	23.1
65.9	7.4
73.0	21.4
73.8	3.9
86.8	6.5

Cell and atoms:
```
Pr5Te4Pd
1.0
-2.245 2.245 15.852
2.245 -2.245 15.852
2.245 2.245 -15.852
Pr Te Pd
5 4 1
Direct
0.000 0.000 0.000
0.205 0.205 0.000
0.409 0.409 0.000
0.591 0.591 0.000
0.795 0.795 0.000
0.102 0.102 0.000
0.306 0.306 0.000
0.694 0.694 0.000
0.898 0.898 0.000
0.500 0.500 0.000
```

Diffraction record for Cu5AgPd8. The powder XRD pattern is calculated, not measured: it uses the GGA-PBE geometry in Alexandria and a wavelength of 1.5418 Å.
Neutral-atom scattering factors, no anomalous dispersion.

Most intense lines, 2θ = 10–90°, in order of rising 2θ:
Position (°2θ)	I_rel
29.1	23.9
37.2	50.2
38.0	100.0
44.6	54.3
45.0	46.8
45.3	48.4
60.4	11.8
62.4	10.8
78.3	12.5
78.8	10.9

Cell and atoms:
```
Cu5AgPd8
1.0
-3.741 3.741 3.831
3.741 -3.741 3.831
3.741 3.741 -3.831
Cu Ag Pd
5 1 8
Direct
0.000 0.000 0.000
0.286 0.628 0.089
0.372 0.461 0.658
0.539 0.197 0.911
0.803 0.714 0.342
0.750 0.250 0.500
0.018 0.419 0.262
0.100 0.166 0.741
0.157 0.756 0.738
0.244 0.982 0.401
0.425 0.360 0.259
0.581 0.843 0.599
0.640 0.900 0.065
0.834 0.575 0.935
```

Diffraction record for TaTi4Ru. The powder XRD pattern is calculated, not measured: it uses the GGA-PBE geometry in Alexandria and a wavelength of 1.5418 Å.
Neutral-atom scattering factors, no anomalous dispersion.

Most intense lines, 2θ = 10–90°, in order of rising 2θ:
Position (°2θ)	I_rel
22.6	29.8
22.8	70.6
32.2	19.5
39.7	100.0
39.8	95.4
40.0	57.3
40.1	49.0
57.9	32.1
71.9	20.5
72.6	30.4

Cell and atoms:
```
TaTi4Ru
1.0
9.557 0.000 0.000
0.000 4.501 0.000
-3.168 0.000 4.570
Ta Ti Ru
2 8 2
Direct
0.000 0.000 0.000
0.500 0.500 0.000
0.156 0.500 0.814
0.189 0.500 0.334
0.311 0.000 0.666
0.344 0.000 0.186
0.656 0.000 0.814
0.689 0.000 0.334
0.811 0.500 0.666
0.844 0.500 0.186
0.000 0.000 0.500
0.500 0.500 0.500
```

Diffraction record for Ba4CuH. The powder XRD pattern is calculated, not measured: it uses the GGA-PBE geometry in Alexandria and a wavelength of 1.5418 Å.
Neutral-atom scattering factors, no anomalous dispersion.

Most intense lines, 2θ = 10–90°, in order of rising 2θ:
Position (°2θ)	I_rel
23.8	28.7
25.4	100.0
25.6	44.9
32.9	24.5
33.1	15.0
39.3	14.5
39.7	25.8
42.8	23.5
46.8	17.7
47.5	16.0

Cell and atoms:
```
Ba4CuH
1.0
9.175 0.000 0.000
0.000 7.841 0.000
0.000 0.000 7.489
Ba Cu H
8 2 2
Direct
0.000 0.157 0.000
0.000 0.824 0.466
0.237 0.676 0.994
0.263 0.324 0.494
0.500 0.176 0.966
0.500 0.843 0.500
0.737 0.324 0.494
0.763 0.676 0.994
0.000 0.489 0.732
0.500 0.511 0.232
0.000 0.836 0.113
0.500 0.164 0.613
```

Diffraction record for MnNi6H3. The powder XRD pattern is calculated, not measured: it uses the GGA-PBE geometry in Alexandria and a wavelength of 1.5418 Å.
Neutral-atom scattering factors, no anomalous dispersion.

Most intense lines, 2θ = 10–90°, in order of rising 2θ:
Position (°2θ)	I_rel
21.5	16.2
24.8	14.3
35.4	9.6
43.6	50.3
43.8	100.0
43.9	49.7
50.8	31.9
50.9	31.6
51.3	30.9
74.9	27.1

Cell and atoms:
```
MnNi6H3
1.0
5.049 0.000 0.000
-2.516 4.392 0.000
-0.034 -2.907 4.151
Mn Ni H
1 6 3
Direct
0.000 0.000 0.000
0.002 0.505 0.004
0.004 0.505 0.502
0.500 0.505 0.007
0.502 0.002 0.005
0.503 0.499 0.503
0.998 0.999 0.503
0.239 0.473 0.715
0.406 0.813 0.219
0.749 0.496 0.245
```

Diffraction record for RbNaTl2Cl8. The powder XRD pattern is calculated, not measured: it uses the GGA-PBE geometry in Alexandria and a wavelength of 1.5418 Å.
Neutral-atom scattering factors, no anomalous dispersion.

Most intense lines, 2θ = 10–90°, in order of rising 2θ:
Position (°2θ)	I_rel
13.9	48.8
21.1	27.2
21.3	100.0
29.3	18.5
34.3	43.7
36.6	20.6
38.6	22.4
42.7	34.9
53.1	12.6
54.2	17.0

Cell and atoms:
```
RbNaTl2Cl8
1.0
-3.473 3.473 7.950
3.473 -3.473 7.950
3.473 3.473 -7.950
Rb Na Tl Cl
1 1 2 8
Direct
0.000 0.000 0.000
0.250 0.750 0.500
0.500 0.500 0.000
0.750 0.250 0.500
0.004 0.071 0.421
0.256 0.661 0.094
0.339 0.433 0.595
0.416 0.996 0.067
0.567 0.162 0.906
0.650 0.584 0.579
0.838 0.744 0.405
0.929 0.350 0.933
```

Diffraction record for TmNi4P2. The powder XRD pattern is calculated, not measured: it uses the GGA-PBE geometry in Alexandria and a wavelength of 1.5418 Å.
Neutral-atom scattering factors, no anomalous dispersion.

Most intense lines, 2θ = 10–90°, in order of rising 2θ:
Position (°2θ)	I_rel
25.2	12.1
27.9	19.0
37.9	100.0
40.4	45.1
44.2	19.2
48.0	18.8
50.9	17.7
59.8	13.0
66.9	19.6
71.8	22.8

Cell and atoms:
```
TmNi4P2
1.0
7.061 0.000 0.000
0.000 7.061 0.000
0.000 0.000 3.590
Tm Ni P
2 8 4
Direct
0.000 0.000 0.000
0.500 0.500 0.500
0.084 0.335 0.500
0.165 0.584 0.000
0.335 0.084 0.500
0.416 0.835 0.000
0.584 0.165 0.000
0.665 0.916 0.500
0.835 0.416 0.000
0.916 0.665 0.500
0.220 0.780 0.500
0.280 0.280 0.000
0.720 0.720 0.000
0.780 0.220 0.500
```

Diffraction record for TlTcF4. The powder XRD pattern is calculated, not measured: it uses the GGA-PBE geometry in Alexandria and a wavelength of 1.5418 Å.
Neutral-atom scattering factors, no anomalous dispersion.

Most intense lines, 2θ = 10–90°, in order of rising 2θ:
Position (°2θ)	I_rel
14.5	15.6
20.6	100.0
29.3	22.6
31.6	73.6
41.9	23.8
43.7	52.1
47.1	21.8
62.1	23.6
70.1	14.5
85.2	12.6

Cell and atoms:
```
TlTcF4
1.0
8.622 0.000 0.000
0.000 8.622 0.000
0.000 0.000 3.192
Tl Tc F
2 2 8
Direct
0.250 0.250 0.002
0.750 0.750 0.998
0.250 0.750 0.500
0.750 0.250 0.500
0.025 0.750 0.499
0.250 0.525 0.501
0.250 0.975 0.501
0.475 0.750 0.499
0.525 0.250 0.501
0.750 0.025 0.499
0.750 0.475 0.499
0.975 0.250 0.501
```

Diffraction record for Zr6AgPd12. The powder XRD pattern is calculated, not measured: it uses the GGA-PBE geometry in Alexandria and a wavelength of 1.5418 Å.
Neutral-atom scattering factors, no anomalous dispersion.

Most intense lines, 2θ = 10–90°, in order of rising 2θ:
Position (°2θ)	I_rel
29.6	18.3
33.7	18.8
37.1	92.9
38.0	18.3
38.7	45.0
39.7	100.0
41.7	33.8
42.0	20.2
65.0	15.9
85.5	16.9

Cell and atoms:
```
Zr6AgPd12
1.0
5.170 2.985 3.719
-5.170 2.985 3.719
0.000 -5.970 3.719
Zr Ag Pd
6 1 12
Direct
0.189 0.737 0.345
0.263 0.655 0.811
0.345 0.189 0.737
0.655 0.811 0.263
0.737 0.345 0.189
0.811 0.263 0.655
0.500 0.500 0.500
0.013 0.963 0.710
0.037 0.290 0.987
0.127 0.373 0.458
0.290 0.987 0.037
0.373 0.458 0.127
0.458 0.127 0.373
0.542 0.873 0.627
0.627 0.542 0.873
0.710 0.013 0.963
0.873 0.627 0.542
0.963 0.710 0.013
0.987 0.037 0.290
```

Diffraction record for NdZr2Rh3. The powder XRD pattern is calculated, not measured: it uses the GGA-PBE geometry in Alexandria and a wavelength of 1.5418 Å.
Neutral-atom scattering factors, no anomalous dispersion.

Most intense lines, 2θ = 10–90°, in order of rising 2θ:
Position (°2θ)	I_rel
31.8	8.0
37.2	100.0
38.2	54.6
43.8	4.7
52.1	10.7
55.2	18.5
66.4	13.2
68.4	36.6
79.3	6.5
81.9	5.8

Cell and atoms:
```
NdZr2Rh3
1.0
3.329 0.000 0.000
0.000 3.329 0.000
0.000 0.000 10.545
Nd Zr Rh
1 2 3
Direct
0.000 0.000 0.000
0.000 0.000 0.340
0.000 0.000 0.660
0.500 0.500 0.204
0.500 0.500 0.500
0.500 0.500 0.796
```